For MnSO4, the GGA+U geometry in the Materials Project gives the calculated powder diffraction line list in this record (copper Kα).
Peak positions follow from Bragg's law for the DFT cell and can differ from measured ones.

Largest 10 diffraction maxima, most intense first, 2θ = 10–90°:
32.67 deg, rel. 100
23.69 deg, rel. 74
36.95 deg, rel. 41
25.21 deg, rel. 41
33.67 deg, rel. 30
19.88 deg, rel. 27
63.18 deg, rel. 26
48.47 deg, rel. 26
21.66 deg, rel. 20
42.81 deg, rel. 20

Crystal structure
Lattice parameters (Å, degrees): 5.3231 8.2052 6.9436 90.00 90.00 90.00
Space group Cmcm (No. 63)
Symmetry-distinct sites (fractional):
Mn: 0.0000 0.0000 0.0000 x4
S: 0.0000 0.3509 0.2500 x4
O: 0.0000 0.2526 0.0728 x8
O: 0.2303 0.4588 0.2500 x8

=====

For Mn2S3O12, the GGA+U geometry in the Materials Project gives the calculated powder diffraction line list in this record (copper Kα).
Peak positions follow from Bragg's law for the DFT cell and can differ from measured ones.

Largest 10 diffraction maxima, most intense first, 2θ = 10–90°:
24.26 deg, rel. 100
31.71 deg, rel. 51
14.46 deg, rel. 51
19.74 deg, rel. 42
29.16 deg, rel. 36
37.24 deg, rel. 14
52.00 deg, rel. 14
49.69 deg, rel. 13
32.95 deg, rel. 11
21.24 deg, rel. 10

Crystal structure
Lattice parameters (Å, degrees): 8.3647 8.3647 22.9411 90.00 90.00 120.00
Space group R-3 (No. 148, hexagonal axes)
Symmetry-distinct sites (fractional):
Mn: 0.0000 0.0000 0.1443 x6
Mn: 0.0000 0.0000 0.3459 x6
S: 0.0041 0.7086 0.2519 x18
O: 0.0175 0.8007 0.1963 x18
O: 0.0411 0.2151 0.0856 x18
O: 0.0802 0.2289 0.7014 x18
O: 0.0891 0.2265 0.3987 x18

=====

For Mn2TeSO8, the GGA+U geometry in the Materials Project gives the calculated powder diffraction line list in this record (copper Kα).
Peak positions follow from Bragg's law for the DFT cell and can differ from measured ones.

Largest 10 diffraction maxima, most intense first, 2θ = 10–90°:
25.58 deg, rel. 100
30.03 deg, rel. 55
11.98 deg, rel. 53
33.21 deg, rel. 52
29.58 deg, rel. 45
36.46 deg, rel. 41
56.83 deg, rel. 36
21.57 deg, rel. 33
27.77 deg, rel. 33
27.44 deg, rel. 31

Crystal structure
Lattice parameters (Å, degrees): 7.3902 9.9269 8.6045 90.00 90.00 90.00
Space group Pbcm (No. 57)
Symmetry-distinct sites (fractional):
Mn: 0.1809 0.0871 0.0500 x8
Te: 0.1476 0.7188 0.7500 x4
S: 0.4457 0.0309 0.7500 x4
O: 0.0569 0.1630 0.2500 x4
O: 0.0682 0.6020 0.5849 x8
O: 0.2773 0.2500 0.0000 x4
O: 0.3418 0.5166 0.1103 x8
O: 0.3737 0.0424 0.2500 x4
O: 0.4813 0.1744 0.7500 x4

=====

For UMnS2O15, the GGA+U geometry in the Materials Project gives the calculated powder diffraction line list in this record (copper Kα).
Peak positions follow from Bragg's law for the DFT cell and can differ from measured ones.

Largest 10 diffraction maxima, most intense first, 2θ = 10–90°:
14.04 deg, rel. 100
22.13 deg, rel. 72
25.41 deg, rel. 60
18.56 deg, rel. 55
17.39 deg, rel. 43
29.14 deg, rel. 42
20.88 deg, rel. 40
19.03 deg, rel. 40
28.29 deg, rel. 40
17.52 deg, rel. 36

Crystal structure
Lattice parameters (Å, degrees): 6.3097 11.5241 8.5703 90.00 90.45 90.00
Space group P2_1 (No. 4)
Symmetry-distinct sites (fractional):
U: 0.0030 0.0000 0.3823 x2
Mn: 0.4946 0.1480 0.8359 x2
S: 0.0040 0.6854 0.2454 x2
S: 0.0260 0.8067 0.7376 x2
O: 0.0338 0.1316 0.6008 x2
O: 0.0407 0.8120 0.2682 x2
O: 0.0934 0.4954 0.8783 x2
O: 0.1008 0.8510 0.8908 x2
O: 0.1028 0.6852 0.7133 x2
O: 0.1056 0.8770 0.6059 x2
O: 0.1779 0.1659 0.8642 x2
O: 0.1860 0.6305 0.1643 x2
O: 0.2074 0.3133 0.2463 x2
O: 0.2680 0.4710 0.5715 x2
O: 0.2723 0.0335 0.3338 x2
O: 0.4701 0.0140 0.7992 x2
O: 0.4840 0.6991 0.9806 x2
O: 0.4846 0.8413 0.1323 x2
O: 0.4966 0.2361 0.6749 x2

=====

For UMnS2O15, the GGA+U geometry in the Materials Project gives the calculated powder diffraction line list in this record (copper Kα).
Peak positions follow from Bragg's law for the DFT cell and can differ from measured ones.

Largest 10 diffraction maxima, most intense first, 2θ = 10–90°:
14.14 deg, rel. 100
21.57 deg, rel. 75
25.35 deg, rel. 68
18.43 deg, rel. 56
17.48 deg, rel. 50
10.02 deg, rel. 48
17.25 deg, rel. 45
28.50 deg, rel. 39
19.12 deg, rel. 39
20.98 deg, rel. 37

Crystal structure
Lattice parameters (Å, degrees): 6.2636 11.4891 8.8259 90.00 90.78 90.00
Space group P2_1 (No. 4)
Symmetry-distinct sites (fractional):
U: 0.0046 0.0000 0.1104 x2
Mn: 0.4969 0.1551 0.6753 x2
S: 0.0027 0.6877 0.2471 x2
S: 0.0249 0.8084 0.7634 x2
O: 0.0483 0.1320 0.8992 x2
O: 0.0484 0.8128 0.2232 x2
O: 0.1008 0.6869 0.7959 x2
O: 0.1034 0.8808 0.8915 x2
O: 0.1049 0.8493 0.6154 x2
O: 0.1080 0.5066 0.6401 x2
O: 0.1747 0.1720 0.6433 x2
O: 0.1890 0.6291 0.3244 x2
O: 0.2096 0.3149 0.2580 x2
O: 0.2672 0.4707 0.9432 x2
O: 0.2758 0.0306 0.1634 x2
O: 0.4671 0.0154 0.6776 x2
O: 0.4883 0.7319 0.4895 x2
O: 0.4981 0.2317 0.8278 x2
O: 0.5000 0.3975 0.5653 x2

=====

For Y2Mn2S2O5, the GGA+U geometry in the Materials Project gives the calculated powder diffraction line list in this record (copper Kα).
Peak positions follow from Bragg's law for the DFT cell and can differ from measured ones.

Largest 10 diffraction maxima, most intense first, 2θ = 10–90°:
36.10 deg, rel. 100
15.45 deg, rel. 79
33.14 deg, rel. 77
26.06 deg, rel. 74
47.57 deg, rel. 60
61.14 deg, rel. 40
42.63 deg, rel. 30
65.77 deg, rel. 29
69.55 deg, rel. 24
55.04 deg, rel. 18

Crystal structure
Lattice parameters (Å, degrees): 3.8227 3.8227 22.9421 90.00 90.00 90.00
Space group I4/mmm (No. 139)
Symmetry-distinct sites (fractional):
Y: 0.0000 0.0000 0.1602 x4
Mn: 0.0000 0.0000 0.4208 x4
S: 0.0000 0.0000 0.2944 x4
O: 0.0000 0.0000 0.5000 x2
O: 0.0000 0.5000 0.1008 x8